1.
Calculated powder X-ray diffraction pattern of SmErCo2Si2 for Cu Kα (λ = 1.5418 Å), from the PBE geometry in OQMD.
Intensities are scaled so that the largest is 100.

Most intense lines, 10° ≤ 2θ ≤ 90°, in order of falling intensity:
- 25.90 deg, d = 3.440 Å, I 100, hkl 1 0 1
- 41.57 deg, d = 2.173 Å, I 73, hkl 1 1 2
- 34.60 deg, d = 2.592 Å, I 64, hkl 1 0 2
- 45.55 deg, d = 1.991 Å, I 48, hkl 2 0 0
- 34.45 deg, d = 2.604 Å, I 44, hkl 1 1 1
- 31.77 deg, d = 2.816 Å, I 33, hkl 1 1 0
- 53.14 deg, d = 1.723 Å, I 29, hkl 2 1 1
- 58.44 deg, d = 1.579 Å, I 28, hkl 2 1 2

Crystal structure
a b c (Å): 3.9827 3.9827 6.8295
angles (deg): 90.00 90.00 90.00
Space group P4mm (No. 99)
One atom of each set of equivalent atoms:
Sm: 0.0000 0.0000 0.0000 x1
Er: 0.5000 0.5000 0.6302 x1
Co: 0.0000 0.5000 0.3261 x2
Si: 0.0000 0.0000 0.5084 x1
Si: 0.5000 0.5000 0.1466 x1

***

2.
Calculated powder X-ray diffraction pattern of ErTmCo2Si4 for Cu Kα (λ = 1.5418 Å), from the PBE geometry in OQMD.
Intensities are scaled so that the largest is 100.

Most intense lines, 10° ≤ 2θ ≤ 90°, in order of falling intensity:
- 36.16 deg, d = 2.484 Å, I 100, hkl 1 1 3
- 32.49 deg, d = 2.756 Å, I 75, hkl 1 1 1
- 35.71 deg, d = 2.514 Å, I 71, hkl 0 1 5
- 21.90 deg, d = 4.058 Å, I 38, hkl 0 0 4
- 40.46 deg, d = 2.229 Å, I 37, hkl 1 0 6
- 25.15 deg, d = 3.541 Å, I 35, hkl 1 0 2
- 59.68 deg, d = 1.549 Å, I 31, hkl 2 1 5
- 45.66 deg, d = 1.987 Å, I 31, hkl 0 2 0

Crystal structure
a b c (Å): 3.9350 3.9740 16.2317
angles (deg): 90.00 90.00 90.00
Space group Amm2 (No. 38)
One atom of each set of equivalent atoms:
Er: 0.0000 0.0000 0.0000 x2
Tm: 0.5000 0.0000 0.2154 x2
Co: 0.0000 0.0000 0.7857 x2
Co: 0.5000 0.0000 0.4297 x2
Si: 0.0000 0.0000 0.3575 x2
Si: 0.0000 0.0000 0.6501 x2
Si: 0.5000 0.0000 0.5653 x2
Si: 0.5000 0.0000 0.8578 x2

***

3.
Calculated powder X-ray diffraction pattern of Er7Co6Sn23 for Cu Kα (λ = 1.5418 Å), from the PBE geometry in OQMD.
Intensities are scaled so that the largest is 100.

Most intense lines, 10° ≤ 2θ ≤ 90°, in order of falling intensity:
- 31.76 deg, d = 2.818 Å, I 100, hkl 0 3 1
- 34.95 deg, d = 2.567 Å, I 47, hkl 3 0 2
- 32.16 deg, d = 2.783 Å, I 22, hkl 2 0 3
- 54.51 deg, d = 1.684 Å, I 21, hkl 3 3 0
- 36.87 deg, d = 2.438 Å, I 17, hkl 2 1 3
- 21.92 deg, d = 4.055 Å, I 14, hkl 2 0 1
- 34.70 deg, d = 2.585 Å, I 11, hkl 0 1 4
- 52.65 deg, d = 1.738 Å, I 11, hkl 0 3 5

Crystal structure
a b c (Å): 10.1011 10.1011 10.8252
angles (deg): 90.00 90.00 120.00
Space group P-3m1 (No. 164)
One atom of each set of equivalent atoms:
Er: 0.0000 0.0000 0.0000 x1
Er: 0.0550 0.5275 0.2893 x6
Co: 0.1959 0.3919 0.1490 x6
Sn: 0.0000 0.0000 0.5000 x1
Sn: 0.0000 0.3455 0.0000 x6
Sn: 0.1115 0.2230 0.3140 x6
Sn: 0.2280 0.4561 0.5576 x6
Sn: 0.3333 0.6667 0.0972 x2
Sn: 0.3333 0.6667 0.7954 x2

***

4.
Calculated powder X-ray diffraction pattern of TbErCo for Cu Kα (λ = 1.5418 Å), from the PBE geometry in OQMD.
Intensities are scaled so that the largest is 100.

Most intense lines, 10° ≤ 2θ ≤ 90°, in order of falling intensity:
- 32.45 deg, d = 2.759 Å, I 100, hkl 1 0 2
- 50.69 deg, d = 1.801 Å, I 58, hkl 2 1 2
- 26.51 deg, d = 3.362 Å, I 54, hkl 1 1 0
- 37.85 deg, d = 2.377 Å, I 47, hkl 2 0 0
- 67.96 deg, d = 1.379 Å, I 17, hkl 2 0 4
- 77.72 deg, d = 1.229 Å, I 16, hkl 3 2 2
- 54.60 deg, d = 1.681 Å, I 16, hkl 2 2 0
- 64.97 deg, d = 1.435 Å, I 14, hkl 3 0 2

Crystal structure
a b c (Å): 4.7542 4.7542 6.7747
angles (deg): 90.00 90.00 90.00
Space group P4_2/mmc (No. 131)
One atom of each set of equivalent atoms:
Tb: 0.0000 0.0000 0.2500 x2
Er: 0.5000 0.5000 0.0000 x2
Co: 0.0000 0.5000 0.0000 x2

***

5.
Calculated powder X-ray diffraction pattern of TbErTlCo2 for Cu Kα (λ = 1.5418 Å), from the PBE geometry in OQMD.
Intensities are scaled so that the largest is 100.

Most intense lines, 10° ≤ 2θ ≤ 90°, in order of falling intensity:
- 33.81 deg, d = 2.651 Å, I 100, hkl 1 1 1
- 34.65 deg, d = 2.589 Å, I 75, hkl 1 0 4
- 30.05 deg, d = 2.973 Å, I 54, hkl 0 1 3
- 60.07 deg, d = 1.540 Å, I 31, hkl 1 2 4
- 39.61 deg, d = 2.275 Å, I 30, hkl 0 1 5
- 47.44 deg, d = 1.916 Å, I 21, hkl 0 2 0
- 47.85 deg, d = 1.901 Å, I 20, hkl 2 0 0
- 56.94 deg, d = 1.617 Å, I 20, hkl 1 1 7

Crystal structure
a b c (Å): 3.8022 3.8328 14.1373
angles (deg): 90.00 90.00 90.00
Space group Amm2 (No. 38)
One atom of each set of equivalent atoms:
Tb: 0.0000 0.0000 0.0000 x2
Er: 0.0000 0.0000 0.7195 x2
Tl: 0.5000 0.0000 0.3591 x2
Co: 0.5000 0.0000 0.1551 x2
Co: 0.5000 0.0000 0.5677 x2

***

6.
Calculated powder X-ray diffraction pattern of Er3Tm4Co2Te2 for Cu Kα (λ = 1.5418 Å), from the PBE geometry in OQMD.
Intensities are scaled so that the largest is 100.

Most intense lines, 10° ≤ 2θ ≤ 90°, in order of falling intensity:
- 34.48 deg, d = 2.601 Å, I 100, hkl 1 4 1
- 33.51 deg, d = 2.674 Å, I 83, hkl 0 3 3
- 30.85 deg, d = 2.898 Å, I 52, hkl 1 1 2
- 35.05 deg, d = 2.560 Å, I 52, hkl 1 3 2
- 59.76 deg, d = 1.547 Å, I 32, hkl 2 3 3
- 47.94 deg, d = 1.898 Å, I 29, hkl 2 0 0
- 34.83 deg, d = 2.576 Å, I 26, hkl 0 6 0
- 37.25 deg, d = 2.414 Å, I 23, hkl 1 0 3

Crystal structure
a b c (Å): 3.7951 15.4533 9.3850
angles (deg): 90.00 90.00 90.00
Space group Imm2 (No. 44)
One atom of each set of equivalent atoms:
Er: 0.0000 0.0000 0.0000 x2
Er: 0.0000 0.3141 0.3750 x4
Tm: 0.0000 0.1348 0.5808 x4
Tm: 0.0000 0.3516 0.7279 x4
Co: 0.0000 0.2375 0.0705 x4
Te: 0.0000 0.0000 0.3368 x2
Te: 0.0000 0.5000 0.2327 x2

***

7.
Calculated powder X-ray diffraction pattern of Er6TmCo2Te2 for Cu Kα (λ = 1.5418 Å), from the PBE geometry in OQMD.
Intensities are scaled so that the largest is 100.

Most intense lines, 10° ≤ 2θ ≤ 90°, in order of falling intensity:
- 34.33 deg, d = 2.612 Å, I 100, hkl 1 4 1
- 33.35 deg, d = 2.687 Å, I 83, hkl 0 3 3
- 30.74 deg, d = 2.908 Å, I 52, hkl 1 1 2
- 34.90 deg, d = 2.571 Å, I 51, hkl 1 3 2
- 59.54 deg, d = 1.553 Å, I 32, hkl 2 3 3
- 47.81 deg, d = 1.902 Å, I 29, hkl 2 0 0
- 34.62 deg, d = 2.591 Å, I 26, hkl 0 6 0
- 37.11 deg, d = 2.423 Å, I 23, hkl 1 0 3

Crystal structure
a b c (Å): 3.8047 15.5450 9.4272
angles (deg): 90.00 90.00 90.00
Space group Imm2 (No. 44)
One atom of each set of equivalent atoms:
Er: 0.0000 0.1346 0.0000 x4
Er: 0.0000 0.3142 0.7948 x4
Er: 0.0000 0.3517 0.1464 x4
Tm: 0.0000 0.0000 0.4186 x2
Co: 0.0000 0.2371 0.4892 x4
Te: 0.0000 0.0000 0.7551 x2
Te: 0.0000 0.5000 0.6529 x2

***

8.
Calculated powder X-ray diffraction pattern of ErTm2Co9 for Cu Kα (λ = 1.5418 Å), from the PBE geometry in OQMD.
Intensities are scaled so that the largest is 100.

Most intense lines, 10° ≤ 2θ ≤ 90°, in order of falling intensity:
- 43.12 deg, d = 2.098 Å, I 100, hkl 1 1 6
- 36.53 deg, d = 2.460 Å, I 92, hkl 1 1 0
- 33.43 deg, d = 2.680 Å, I 50, hkl 1 0 7
- 42.63 deg, d = 2.121 Å, I 36, hkl 0 2 1
- 65.78 deg, d = 1.420 Å, I 23, hkl 3 0 0
- 46.59 deg, d = 1.949 Å, I 23, hkl 0 1 11
- 70.33 deg, d = 1.339 Å, I 21, hkl 3 0 6
- 45.11 deg, d = 2.010 Å, I 19, hkl 0 0 12

Crystal structure
a b c (Å): 4.9166 4.9166 24.1430
angles (deg): 90.00 90.00 120.00
Space group R-3m (No. 166, hexagonal axes)
One atom of each set of equivalent atoms:
Er: 0.0000 0.0000 0.0000 x3
Tm: 0.0000 0.0000 0.1399 x6
Co: 0.0000 0.0000 0.3342 x6
Co: 0.0000 0.0000 0.5000 x3
Co: 0.0022 0.5011 0.9183 x18

***

9.
Calculated powder X-ray diffraction pattern of ErTmCo2 for Cu Kα (λ = 1.5418 Å), from the PBE geometry in OQMD.
Intensities are scaled so that the largest is 100.

Most intense lines, 10° ≤ 2θ ≤ 90°, in order of falling intensity:
- 31.05 deg, d = 2.880 Å, I 100, hkl 1 1 1
- 33.90 deg, d = 2.644 Å, I 91, hkl 1 0 2
- 35.17 deg, d = 2.552 Å, I 90, hkl 0 2 1
- 42.57 deg, d = 2.124 Å, I 71, hkl 1 2 1
- 37.82 deg, d = 2.379 Å, I 63, hkl 1 1 2
- 40.58 deg, d = 2.223 Å, I 63, hkl 0 1 3
- 47.45 deg, d = 1.916 Å, I 39, hkl 2 0 0
- 60.42 deg, d = 1.532 Å, I 38, hkl 2 2 1

Crystal structure
a b c (Å): 3.8320 5.4463 7.3063
angles (deg): 90.00 90.00 90.00
Space group Pmc2_1 (No. 26)
One atom of each set of equivalent atoms:
Er: 0.0000 0.1313 0.0000 x2
Tm: 0.5000 0.3690 0.6443 x2
Co: 0.0000 0.3541 0.3508 x2
Co: 0.5000 0.1488 0.2944 x2

***

10.
Calculated powder X-ray diffraction pattern of ErTmZnCo2 for Cu Kα (λ = 1.5418 Å), from the PBE geometry in OQMD.
Intensities are scaled so that the largest is 100.

Most intense lines, 10° ≤ 2θ ≤ 90°, in order of falling intensity:
- 35.56 deg, d = 2.524 Å, I 100, hkl 1 1 2
- 44.97 deg, d = 2.016 Å, I 35, hkl 2 0 0
- 27.57 deg, d = 3.236 Å, I 34, hkl 1 1 0
- 41.64 deg, d = 2.169 Å, I 31, hkl 1 2 1
- 40.03 deg, d = 2.253 Å, I 25, hkl 0 2 2
- 61.78 deg, d = 1.502 Å, I 24, hkl 0 3 3
- 37.30 deg, d = 2.411 Å, I 23, hkl 0 1 3
- 71.98 deg, d = 1.312 Å, I 21, hkl 1 2 5

Crystal structure
a b c (Å): 4.0295 5.4299 8.0708
angles (deg): 90.00 90.00 90.00
Space group Imm2 (No. 44)
One atom of each set of equivalent atoms:
Er: 0.0000 0.0000 0.0000 x2
Tm: 0.0000 0.0000 0.5844 x2
Zn: 0.0000 0.5000 0.7924 x2
Co: 0.0000 0.2884 0.2918 x4

***

11.
Calculated powder X-ray diffraction pattern of Y2ErCo9 for Cu Kα (λ = 1.5418 Å), from the PBE geometry in OQMD.
Intensities are scaled so that the largest is 100.

Most intense lines, 10° ≤ 2θ ≤ 90°, in order of falling intensity:
- 42.92 deg, d = 2.107 Å, I 100, hkl 1 1 6
- 36.35 deg, d = 2.471 Å, I 67, hkl 1 1 0
- 42.43 deg, d = 2.130 Å, I 32, hkl 0 2 1
- 33.28 deg, d = 2.692 Å, I 31, hkl 1 0 7
- 44.86 deg, d = 2.020 Å, I 19, hkl 0 0 12
- 69.97 deg, d = 1.345 Å, I 19, hkl 3 0 6
- 77.27 deg, d = 1.235 Å, I 17, hkl 2 2 0
- 65.44 deg, d = 1.426 Å, I 17, hkl 3 0 0

Crystal structure
a b c (Å): 4.9390 4.9390 24.2524
angles (deg): 90.00 90.00 120.00
Space group R-3m (No. 166, hexagonal axes)
One atom of each set of equivalent atoms:
Y: 0.0000 0.0000 0.1395 x6
Er: 0.0000 0.0000 0.0000 x3
Co: 0.0000 0.0000 0.3345 x6
Co: 0.0000 0.0000 0.5000 x3
Co: 0.0017 0.5008 0.9193 x18

***

12.
Calculated powder X-ray diffraction pattern of Fe3Co2 for Cu Kα (λ = 1.5418 Å), from the PBE geometry in OQMD.
Intensities are scaled so that the largest is 100.

Most intense lines, 10° ≤ 2θ ≤ 90°, in order of falling intensity:
- 37.69 deg, d = 2.387 Å, I 100, hkl 1 1 3
- 44.70 deg, d = 2.027 Å, I 62, hkl 0 0 6
- 47.64 deg, d = 1.909 Å, I 50, hkl 2 1 1
- 56.41 deg, d = 1.631 Å, I 43, hkl 2 1 4
- 38.18 deg, d = 2.357 Å, I 41, hkl 2 0 2
- 46.40 deg, d = 1.957 Å, I 40, hkl 0 2 4
- 53.78 deg, d = 1.705 Å, I 40, hkl 3 0 0
- 49.48 deg, d = 1.842 Å, I 37, hkl 1 2 2

Crystal structure
a b c (Å): 5.9046 5.9046 12.1629
angles (deg): 90.00 90.00 120.00
Space group R-3c (No. 167, hexagonal axes)
One atom of each set of equivalent atoms:
Fe: 0.0000 0.2495 0.2500 x18
Co: 0.0000 0.0000 0.0927 x12